Diffraction record for CaNi2F6. The powder XRD pattern is computed, not measured: it uses a DFT-relaxed cell (GGA+U, Alexandria) and Cu Ka.
Intensities are scaled so that the largest is 100.

Cell and atoms:
```
data_CaNi2F6
_cell_length_a 5.2511
_cell_length_b 5.2511
_cell_length_c 4.9207
_cell_angle_alpha 90.00
_cell_angle_beta 90.00
_cell_angle_gamma 120.00
_space_group_name_H-M_alt 'P -3 1 m'
_space_group_IT_number 162
_space_group_name_Hall '-P 3 2'
loop_
_atom_site_label
_atom_site_type_symbol
_atom_site_fract_x
_atom_site_fract_y
_atom_site_fract_z
Ca1 Ca 0.0000 0.0000 0.0000
Ni1 Ni 0.3333 0.6667 0.5000
F1 F 0.0000 0.3527 0.7238
```

Principal peaks in the range 10 to 90 degrees two-theta, by intensity:
d (Å)	2theta	I_rel
3.340	26.69	100.0
1.795	50.86	66.4
2.316	38.88	47.6
4.921	18.03	41.8
2.626	34.15	28.1
1.516	61.14	26.2
2.064	43.86	22.6
1.623	56.73	21.4
1.158	83.46	12.6
1.391	67.31	9.6